Diffraction record for Sr3Mg2Sn3. The X-ray diffraction stick pattern is theoretical, not measured: it uses a structure optimized by DFT (PBE) and λ = 1.5418 Å (Cu Kα).

Cell and atoms:
```
32
Lattice="9.158 0.000 0.000 0.000 16.706 0.000 0.000 0.000 6.725" Properties=species:S:1:pos:R:3 pbc="T T T"
Sr 0.400 1.847 0.892
Sr 0.400 6.507 0.892
Sr 1.780 4.177 4.006
Sr 2.799 12.530 0.644
Sr 4.179 10.200 4.254
Sr 4.179 14.860 4.254
Sr 4.979 1.847 2.470
Sr 4.979 6.507 2.470
Sr 6.359 4.177 6.081
Sr 7.378 12.530 2.718
Sr 8.758 10.200 5.832
Sr 8.758 14.860 5.832
Mg 0.820 10.006 2.639
Mg 0.820 15.054 2.639
Mg 3.759 1.653 6.001
Mg 3.759 6.701 6.001
Mg 5.399 10.006 0.724
Mg 5.399 15.054 0.724
Mg 8.338 1.653 4.086
Mg 8.338 6.701 4.086
Sn 1.547 12.530 3.934
Sn 1.939 0.655 4.029
Sn 1.939 7.698 4.029
Sn 2.640 9.008 0.667
Sn 2.640 16.051 0.667
Sn 3.032 4.177 0.572
Sn 6.126 12.530 6.152
Sn 6.518 0.655 6.058
Sn 6.518 7.698 6.058
Sn 7.218 9.008 2.696
Sn 7.218 16.051 2.696
Sn 7.611 4.177 2.790
```

The 12 most intense peaks (10 to 90 degrees two-theta), sorted by position:
| 2θ (°) | intensity |
| --- | --- |
| 26.95 | 43 |
| 28.28 | 100 |
| 28.51 | 30 |
| 28.94 | 92 |
| 31.45 | 25 |
| 31.91 | 37 |
| 32.19 | 83 |
| 32.62 | 67 |
| 35.65 | 47 |
| 41.34 | 34 |
| 41.67 | 27 |
| 62.95 | 28 |

Diffraction record for Tb3MgSn3. The X-ray diffraction stick pattern is theoretical, not measured: it uses a structure optimized by DFT (PBE) and λ = 1.5418 Å (Cu Kα).

Cell and atoms:
```
14
Lattice="9.257 0.000 0.000 -4.629 8.017 0.000 0.000 0.000 6.170" Properties=species:S:1:pos:R:3 pbc="T T T"
Tb -1.256 2.829 1.542
Tb -1.551 7.691 1.542
Tb 1.821 2.502 4.627
Tb 2.807 5.515 1.542
Tb 6.179 0.326 4.627
Tb 5.885 5.188 4.627
Mg 0.000 5.345 4.627
Mg 4.629 2.672 1.542
Sn -1.305 2.800 4.627
Sn -1.551 7.747 4.627
Sn 1.772 2.530 1.542
Sn 2.856 5.487 4.627
Sn 6.180 0.270 1.542
Sn 5.934 5.217 1.542
```

The 12 most intense peaks (10 to 90 degrees two-theta), sorted by position:
| 2θ (°) | intensity |
| --- | --- |
| 19.18 | 96 |
| 28.94 | 63 |
| 29.48 | 29 |
| 33.53 | 100 |
| 34.95 | 44 |
| 41.79 | 23 |
| 44.87 | 90 |
| 59.96 | 19 |
| 67.93 | 15 |
| 69.07 | 17 |
| 70.49 | 29 |
| 72.43 | 13 |

Diffraction record for TbMgTlSn. The X-ray diffraction stick pattern is theoretical, not measured: it uses a structure optimized by DFT (PBE) and λ = 1.5418 Å (Cu Kα).

Cell and atoms:
```
4
Lattice="4.407 0.000 0.000 0.000 4.680 0.000 0.000 0.000 4.903" Properties=species:S:1:pos:R:3 pbc="T T T"
Tb 0.000 0.000 0.000
Mg 0.000 2.340 2.451
Tl 2.204 0.000 2.451
Sn 2.204 2.340 0.000
```

The 12 most intense peaks (10 to 90 degrees two-theta), sorted by position:
| 2θ (°) | intensity |
| --- | --- |
| 18.96 | 17 |
| 27.21 | 15 |
| 33.37 | 100 |
| 36.66 | 19 |
| 38.47 | 17 |
| 40.96 | 14 |
| 54.18 | 13 |
| 56.12 | 12 |
| 63.93 | 16 |
| 66.36 | 15 |
| 69.79 | 12 |
| 70.10 | 12 |